For Ba3Al4Zn2, the PBE geometry in Alexandria gives the calculated PXRD pattern in this record (copper Kα).

Structure:
Cell: 4.5357 4.5357 31.1677 Å, 90.00 90.00 120.00°
Atoms (fractional coordinates):
Ba (0.0000, 0.0000, 0.0818)
Ba (0.0000, 0.0000, 0.2500)
Ba (0.0000, 0.0000, 0.4156)
Ba (0.0000, 0.0000, 0.5844)
Ba (0.0000, 0.0000, 0.7500)
Ba (0.0000, 0.0000, 0.9182)
Al (0.3333, 0.6667, 0.1659)
Al (0.3333, 0.6667, 0.3330)
Al (0.3333, 0.6667, 0.5000)
Al (0.3333, 0.6667, 0.6670)
Al (0.3333, 0.6667, 0.8341)
Al (0.6667, 0.3333, 0.1653)
Al (0.6667, 0.3333, 0.5000)
Al (0.6667, 0.3333, 0.8347)
Zn (0.3333, 0.6667, 0.0000)
Zn (0.6667, 0.3333, 0.0000)
Zn (0.6667, 0.3333, 0.3329)
Zn (0.6667, 0.3333, 0.6671)

The 12 most intense peaks (15° ≤ 2θ ≤ 90°), in order of falling intensity:
| hkl | 2θ (°) | I (rel.) |
| --- | --- | --- |
| 1 0 6 | 28.5 | 100 |
| 1 1 0 | 39.7 | 31 |
| 1 1 12 | 53.7 | 26 |
| 1 0 0 | 22.6 | 24 |
| 2 0 6 | 49.6 | 21 |
| 2 1 6 | 65.4 | 18 |
| 0 0 12 | 34.5 | 16 |
| 1 1 24 | 86.3 | 15 |
| 1 0 18 | 58.2 | 13 |
| 1 0 12 | 41.7 | 9 |
| 0 0 24 | 72.8 | 8 |
| 3 0 12 | 82.5 | 7 |